Cu2PdPt: simulated powder XRD pattern (Cu Ka), based on a cell relaxed with GGA-PBE.

Cell and atoms:
```
data_Cu2PdPt
_symmetry_space_group_name_H-M 'R 3 m'
_symmetry_Int_Tables_number 160
_symmetry_space_group_name_Hall 'R 3 -2"'
_cell_length_a 2.7354
_cell_length_b 2.7354
_cell_length_c 25.9195
_cell_angle_alpha 90.00
_cell_angle_beta 90.00
_cell_angle_gamma 120.00
loop_
_atom_site_label
_atom_site_type_symbol
_atom_site_fract_x
_atom_site_fract_y
_atom_site_fract_z
Cu1 Cu 0.0000 0.0000 0.0000
Cu2 Cu 0.0000 0.0000 0.1680
Pd1 Pd 0.0000 0.0000 0.5838
Pt1 Pt 0.0000 0.0000 0.7509
```

Principal peaks in the range 2θ from 10° to 90°, by angle:
| Position (°2θ) | d (Å) | I_rel |
| --- | --- | --- |
| 10.24 | 8.640 | 43 |
| 20.56 | 4.320 | 40 |
| 38.15 | 2.359 | 34 |
| 38.64 | 2.330 | 32 |
| 40.55 | 2.225 | 26 |
| 41.82 | 2.160 | 48 |
| 41.93 | 2.155 | 100 |
| 45.45 | 1.995 | 77 |
| 68.62 | 1.368 | 32 |
| 83.72 | 1.155 | 50 |